For NaMg2CoAs, the GGA-PBE geometry in Alexandria gives the theoretical powder diffraction line list in this record (a wavelength of 1.5418 Å).

Largest 10 diffraction maxima, by angle, 10° ≤ 2θ ≤ 80°:
| Position (°2θ) | I (rel.) | hkl |
| --- | --- | --- |
| 19.6 | 12 | 0 0 1 |
| 25.1 | 43 | 1 1 0 |
| 32.1 | 100 | 1 1 1 |
| 35.9 | 62 | 2 0 0 |
| 39.7 | 23 | 0 0 2 |
| 47.6 | 15 | 1 1 2 |
| 51.6 | 21 | 2 2 0 |
| 54.6 | 35 | 2 0 2 |
| 62.1 | 28 | 3 1 1 |
| 67.0 | 18 | 2 2 2 |

Cell and atoms:
```
data_NaMg2CoAs
_cell_length_a 5.008
_cell_length_b 5.008
_cell_length_c 4.540
_cell_angle_alpha 90.00
_cell_angle_beta 90.00
_cell_angle_gamma 90.00
_symmetry_space_group_name_H-M 'P 4/m m m'
_symmetry_Int_Tables_number 123
_symmetry_space_group_name_Hall '-P 4 2'
loop_
_atom_site_label
_atom_site_fract_x
_atom_site_fract_y
_atom_site_fract_z
Na1 0.000 0.000 0.000
Mg1 0.000 0.500 0.000
Co1 0.000 0.000 0.500
As1 0.500 0.500 0.500
```